K11Mn4O16: simulated powder diffraction line list (CuKα), based on the PBE+U geometry in the Materials Project.

Principal peaks in the range 10° ≤ 2θ ≤ 80°, sorted by position:
2θ (°), intensity
18.7, 43
29.3, 15
30.2, 100
31.7, 40
34.1, 22
35.8, 19
37.0, 17
44.0, 12
45.4, 15
55.5, 21

Atomic structure:
```
K11Mn4O16
1.0
-3.992 3.992 8.818
3.992 -3.992 8.818
3.992 3.992 -8.818
K Mn O
11 4 16
direct
0.000 0.000 0.000
0.000 0.500 0.500
0.211 0.211 0.000
0.219 0.219 0.648
0.250 0.750 0.500
0.429 0.781 0.000
0.500 0.000 0.500
0.571 0.571 0.352
0.750 0.250 0.500
0.781 0.429 0.000
0.789 0.789 0.000
0.114 0.639 0.000
0.361 0.361 0.474
0.639 0.114 0.000
0.886 0.886 0.526
0.086 0.839 0.697
0.087 0.489 0.000
0.142 0.389 0.303
0.161 0.858 0.247
0.286 0.603 0.000
0.389 0.142 0.303
0.397 0.397 0.683
0.489 0.087 0.000
0.511 0.511 0.598
0.603 0.286 0.000
0.611 0.914 0.753
0.714 0.714 0.317
0.839 0.086 0.697
0.858 0.161 0.247
0.913 0.913 0.402
0.914 0.611 0.753
```